Calculated X-ray diffraction stick pattern
Compound: Nb3Mo13
Radiation: Cu Ka
Structure: DFT lattice parameters and positions (PBE)
Neutral-atom scattering factors, no anomalous dispersion.

Top 4 peaks for 2θ from 15° to 90°, in order of rising 2θ:
2.251 Å, I 100.0, hkl 2 2 0
1.592 Å, I 16.3, hkl 4 0 0
1.300 Å, I 33.0, hkl 4 2 2
1.126 Å, I 10.8, hkl 4 4 0

```
data_Nb3Mo13
_chemical_formula_sum 'Nb3 Mo13'
_cell_length_a 6.368
_cell_length_b 6.368
_cell_length_c 6.368
_cell_angle_alpha 90.00
_cell_angle_beta 90.00
_cell_angle_gamma 90.00
_symmetry_space_group_name_H-M 'P m -3 m'
_symmetry_Int_Tables_number 221
_symmetry_space_group_name_Hall '-P 4 2 3'
loop_
_atom_site_label
_atom_site_type_symbol
_atom_site_fract_x
_atom_site_fract_y
_atom_site_fract_z
Nb1 Nb 0.000 0.000 0.500
Mo1 Mo 0.000 0.000 0.000
Mo2 Mo 0.000 0.500 0.500
Mo3 Mo 0.251 0.251 0.251
Mo4 Mo 0.500 0.500 0.500
```